Structure and simulated powder XRD pattern of PrMo2O6 (a structure optimized by DFT (PBE+U); a wavelength of 1.5418 Å).
Intensities are scaled so that the largest is 100.

Principal peaks in the range 15° ≤ 2θ ≤ 90°, low angle first:
| hkl | 2θ (°) | I (rel.) |
| --- | --- | --- |
| 0 1 -1 | 19.13 | 36 |
| 0 1 1 | 19.29 | 36 |
| 1 0 -1 | 19.51 | 41 |
| 1 0 1 | 19.65 | 41 |
| 1 1 0 | 22.43 | 34 |
| 0 2 0 | 31.48 | 45 |
| 1 1 -2 | 31.76 | 51 |
| 1 -1 2 | 31.92 | 100 |
| 1 1 2 | 32.12 | 48 |
| 2 0 0 | 32.41 | 49 |
| 0 0 4 | 45.79 | 89 |
| -3 1 2 | 57.36 | 33 |

Cell: 5.525 5.684 7.933 Å, 90.48 90.42 90.08°
Space group P1 (No. 1)
Symmetry-distinct sites (fractional):
Pr  0.000  0.000  0.000 [1 per cell]
Pr  0.496  0.389  0.499 [1 per cell]
Mo  0.006  0.456  0.748 [1 per cell]
Mo  0.007  0.457  0.246 [1 per cell]
Mo  0.506  0.939  0.751 [1 per cell]
Mo  0.510  0.938  0.252 [1 per cell]
O  0.069  0.427  0.000 [1 per cell]
O  0.228  0.166  0.281 [1 per cell]
O  0.230  0.171  0.716 [1 per cell]
O  0.291  0.640  0.294 [1 per cell]
O  0.318  0.663  0.706 [1 per cell]
O  0.422  0.931  0.999 [1 per cell]
O  0.571  0.967  0.499 [1 per cell]
O  0.720  0.212  0.783 [1 per cell]
O  0.738  0.238  0.221 [1 per cell]
O  0.806  0.743  0.204 [1 per cell]
O  0.808  0.744  0.796 [1 per cell]
O  0.920  0.463  0.500 [1 per cell]